(1)
Calculated powder X-ray diffraction pattern
Compound: Ho5ThAs6
Radiation: Cu Kα (λ = 1.5418 Å)
Structure: a PBE-relaxed structure

Atomic structure:
```
Ho5ThAs6
1.0
3.5777 -6.1895 0.0000
3.5777 6.1895 0.0000
-2.3907 0.0000 6.7419
Ho Th As
5 1 6
direct
0.0000 0.0000 0.0000 Ho
0.1668 0.8332 0.5000 Ho
0.3342 0.6658 0.0000 Ho
0.6658 0.3342 0.0000 Ho
0.8332 0.1668 0.5000 Ho
0.5000 0.5000 0.5000 Th
0.0783 0.4156 0.2467 As
0.2466 0.2466 0.7517 As
0.4156 0.0783 0.2467 As
0.5844 0.9217 0.7533 As
0.7534 0.7534 0.2483 As
0.9217 0.5844 0.7533 As
```

Most intense lines, 15° ≤ 2θ ≤ 90°, in order of falling intensity:
Position (°2θ), d_spacing, Rel. int.
30.62, 2.919, 1000
43.86, 2.064, 749
72.38, 1.306, 339
26.44, 3.371, 275
54.44, 1.686, 264
80.61, 1.192, 255

(2)
Calculated powder X-ray diffraction pattern
Compound: Pr3GaRu2
Radiation: Cu Kα (λ = 1.5418 Å)
Structure: a PBE-relaxed structure

Atomic structure:
```
Pr3GaRu2
1.0
-2.1793 2.1795 7.5020
2.1793 -2.1795 7.5020
2.1793 2.1795 -7.5020
Pr Ga Ru
3 1 2
direct
0.0000 0.0000 0.0000 Pr
0.1812 0.6812 0.5000 Pr
0.8188 0.3188 0.5000 Pr
0.5000 0.5000 0.0000 Ga
0.3759 0.8759 0.5000 Ru
0.6241 0.1241 0.5000 Ru
```

Most intense lines, 15° ≤ 2θ ≤ 90°, in order of falling intensity:
Position (°2θ), d_spacing, Rel. int.
31.38, 2.851, 1000
37.78, 2.381, 835
41.43, 2.179, 736
36.35, 2.472, 655
56.28, 1.635, 367
28.97, 3.082, 297

(3)
Calculated powder X-ray diffraction pattern
Compound: Pr4Sm5Ho3
Radiation: Cu Kα (λ = 1.5418 Å)
Structure: a PBE-relaxed structure

Atomic structure:
```
Pr4Sm5Ho3
1.0
8.1904 -3.0009 0.0000
8.1904 3.0009 0.0000
-4.2472 0.0000 8.4702
Pr Sm Ho
4 5 3
direct
0.0835 0.0835 0.4433 Pr
0.2173 0.2173 0.8792 Pr
0.7827 0.7827 0.1208 Pr
0.9165 0.9165 0.5567 Pr
0.0000 0.0000 0.0000 Sm
0.3284 0.3284 0.6122 Sm
0.4272 0.4272 0.2977 Sm
0.5728 0.5728 0.7023 Sm
0.6716 0.6716 0.3878 Sm
0.2097 0.2097 0.2300 Ho
0.5000 0.5000 0.0000 Ho
0.7903 0.7903 0.7700 Ho
```

Most intense lines, 15° ≤ 2θ ≤ 90°, in order of falling intensity:
Position (°2θ), d_spacing, Rel. int.
29.77, 3.001, 1000
32.00, 2.797, 797
33.06, 2.710, 649
31.26, 2.861, 468
30.64, 2.918, 424
28.66, 3.114, 356

(4)
Calculated powder X-ray diffraction pattern
Compound: ZrCo2SnS
Radiation: Cu Kα (λ = 1.5418 Å)
Structure: a PBE-relaxed structure

Atomic structure:
```
ZrCo2SnS
1.0
4.5591 0.0000 0.0000
0.0000 4.5591 0.0000
0.0000 0.0000 5.7496
Zr Co Sn S
1 2 1 1
direct
0.0000 0.0000 0.0000 Zr
0.0000 0.5000 0.0000 Co
0.5000 0.0000 0.0000 Co
0.0000 0.0000 0.5000 Sn
0.5000 0.5000 0.5000 S
```

Most intense lines, 15° ≤ 2θ ≤ 90°, in order of falling intensity:
Position (°2θ), d_spacing, Rel. int.
19.47, 4.559, 1000
39.53, 2.280, 703
31.11, 2.875, 684
51.14, 1.786, 652
31.82, 2.812, 643
36.97, 2.432, 409

(5)
Calculated powder X-ray diffraction pattern
Compound: Cs3SbCl7
Radiation: Cu Kα (λ = 1.5418 Å)
Structure: a PBE-relaxed structure

Atomic structure:
```
Cs3SbCl7
1.0
10.5032 0.0000 0.0000
0.0000 10.5032 0.0000
0.0000 0.0000 7.4224
Cs Sb Cl
6 2 14
direct
0.0000 0.0000 0.0000 Cs
0.1783 0.3217 0.5000 Cs
0.3217 0.8217 0.5000 Cs
0.5000 0.5000 0.0000 Cs
0.6783 0.1783 0.5000 Cs
0.8217 0.6783 0.5000 Cs
0.0000 0.5000 0.0000 Sb
0.5000 0.0000 0.0000 Sb
0.0000 0.0000 0.5000 Cl
0.1180 0.6180 0.2477 Cl
0.1180 0.6180 0.7523 Cl
0.1710 0.3290 0.0000 Cl
0.3290 0.8290 0.0000 Cl
0.3820 0.1180 0.2477 Cl
0.3820 0.1180 0.7523 Cl
0.5000 0.5000 0.5000 Cl
0.6180 0.8820 0.2477 Cl
0.6180 0.8820 0.7523 Cl
0.6710 0.1710 0.0000 Cl
0.8290 0.6710 0.0000 Cl
0.8820 0.3820 0.2477 Cl
0.8820 0.3820 0.7523 Cl
```

Most intense lines, 15° ≤ 2θ ≤ 90°, in order of falling intensity:
Position (°2θ), d_spacing, Rel. int.
20.72, 4.287, 1000
23.97, 3.713, 900
30.70, 2.912, 853
26.84, 3.321, 428
34.16, 2.625, 425
56.82, 1.620, 330